(1)
This entry pairs a crystal structure of Ac3Cu2PbO9 with its calculated X-ray diffraction stick pattern. Radiation: Cu Kα (λ = 1.5418 Å). Structure: a structure optimized by DFT (GGA-PBE).
Intensities are scaled so that the largest is 100.

Crystal structure
Cell lengths 5.724, 5.724, 7.259 Å; angles 90.00, 90.00, 120.00 degrees
Fractional coordinates of all 15 atoms:
Ac: 0.000 0.000 0.000
Ac: 0.333 0.667 0.712
Ac: 0.667 0.333 0.288
Cu: 0.333 0.667 0.161
Cu: 0.667 0.333 0.839
Pb: 0.000 0.000 0.500
O: 0.000 0.500 0.000
O: 0.167 0.335 0.310
O: 0.167 0.833 0.310
O: 0.335 0.167 0.690
O: 0.500 0.000 0.000
O: 0.500 0.500 0.000
O: 0.665 0.833 0.310
O: 0.833 0.167 0.690
O: 0.833 0.665 0.690

Main lines, sorted by position (10° ≤ 2θ ≤ 80°):
| 2theta | d (Å) | I_rel |
| --- | --- | --- |
| 21.7 | 4.094 | 28.3 |
| 30.5 | 2.928 | 100.0 |
| 31.3 | 2.862 | 93.9 |
| 44.3 | 2.047 | 52.4 |
| 55.2 | 1.665 | 39.7 |
| 55.6 | 1.652 | 19.3 |
| 65.2 | 1.431 | 16.1 |
| 73.7 | 1.286 | 17.3 |

***

(2)
This entry pairs a crystal structure of AcCu2PdO4 with its calculated X-ray diffraction stick pattern. Radiation: Cu Kα (λ = 1.5418 Å). Structure: a structure optimized by DFT (GGA-PBE).
Intensities are scaled so that the largest is 100.

Crystal structure
Cell lengths 5.217, 5.217, 5.217 Å; angles 115.25, 115.25, 98.45 degrees
Fractional coordinates of all 8 atoms:
Ac: 0.000 0.000 0.000
Cu: 0.250 0.750 0.500
Cu: 0.750 0.250 0.500
Pd: 0.500 0.500 0.000
O: 0.050 0.050 0.546
O: 0.496 0.950 0.000
O: 0.504 0.504 0.454
O: 0.950 0.496 0.000

Main lines, sorted by position (10° ≤ 2θ ≤ 80°):
| 2theta | d (Å) | I_rel |
| --- | --- | --- |
| 20.6 | 4.320 | 19.3 |
| 22.5 | 3.950 | 24.9 |
| 32.0 | 2.793 | 46.1 |
| 34.8 | 2.580 | 100.0 |
| 41.8 | 2.160 | 17.0 |
| 45.9 | 1.975 | 28.7 |
| 58.9 | 1.568 | 43.8 |
| 64.0 | 1.454 | 14.0 |

***

(3)
This entry pairs a crystal structure of AcPmCu2O5 with its calculated X-ray diffraction stick pattern. Radiation: Cu Kα (λ = 1.5418 Å). Structure: a structure optimized by DFT (GGA-PBE).
Intensities are scaled so that the largest is 100.

Crystal structure
Cell lengths 3.932, 3.932, 7.321 Å; angles 90.00, 90.00, 90.00 degrees
Fractional coordinates of all 9 atoms:
Ac: 0.000 0.000 0.000
Pm: 0.000 0.000 0.500
Cu: 0.500 0.500 0.286
Cu: 0.500 0.500 0.714
O: 0.000 0.500 0.292
O: 0.000 0.500 0.708
O: 0.500 0.000 0.292
O: 0.500 0.000 0.708
O: 0.500 0.500 0.000

Main lines, sorted by position (10° ≤ 2θ ≤ 80°):
| 2theta | d (Å) | I_rel |
| --- | --- | --- |
| 22.6 | 3.932 | 25.5 |
| 32.2 | 2.781 | 50.6 |
| 33.4 | 2.679 | 100.0 |
| 40.8 | 2.214 | 25.5 |
| 46.2 | 1.966 | 30.4 |
| 58.2 | 1.585 | 41.2 |
| 60.5 | 1.529 | 19.2 |
| 70.3 | 1.340 | 12.3 |